(1)
Diffraction record for Ta8NiC4S8. The XRD peak list is calculated, not measured: it uses DFT lattice parameters and positions (PBE) and copper Kα.

Largest 6 diffraction maxima, by angle, 2θ from 10° to 90°:
2θ/deg, I (rel.)
10.33, 100
31.58, 38
34.42, 37
36.03, 44
42.40, 42
55.87, 24

Cell lengths 9.367, 9.367, 9.367 Å; angles 41.14, 41.14, 41.14 degrees
Element x y z (fractional)
1 Ta 0.119 0.622 0.622
2 Ta 0.122 0.122 0.122
3 Ta 0.378 0.378 0.881
4 Ta 0.378 0.881 0.378
5 Ta 0.622 0.119 0.622
6 Ta 0.622 0.622 0.119
7 Ta 0.878 0.878 0.878
8 Ta 0.881 0.378 0.378
9 Ni 0.000 0.000 0.000
10 C 0.000 0.000 0.500
11 C 0.000 0.500 0.000
12 C 0.500 0.000 0.000
13 C 0.500 0.500 0.500
14 S 0.224 0.224 0.722
15 S 0.224 0.722 0.224
16 S 0.275 0.275 0.275
17 S 0.278 0.776 0.776
18 S 0.722 0.224 0.224
19 S 0.725 0.725 0.725
20 S 0.776 0.278 0.776
21 S 0.776 0.776 0.278

(2)
Diffraction record for CdIn2Se2S2. The XRD peak list is calculated, not measured: it uses DFT lattice parameters and positions (PBE) and copper Kα.

Largest 6 diffraction maxima, by angle, 2θ from 10° to 90°:
2θ/deg, I (rel.)
19.14, 74
25.30, 64
26.38, 100
37.68, 64
43.91, 84
44.81, 66

Cell lengths 14.110, 14.110, 14.110 Å; angles 16.81, 16.81, 16.81 degrees
Element x y z (fractional)
1 Cd 0.000 0.000 0.000
2 In 0.537 0.537 0.537
3 In 0.770 0.770 0.770
4 Se 0.071 0.071 0.071
5 Se 0.475 0.475 0.475
6 S 0.651 0.651 0.651
7 S 0.893 0.893 0.893

(3)
Diffraction record for Rb3SbO3. The XRD peak list is calculated, not measured: it uses DFT lattice parameters and positions (PBE) and copper Kα.

Largest 6 diffraction maxima, by angle, 2θ from 10° to 90°:
2θ/deg, I (rel.)
27.24, 100
27.87, 50
27.97, 69
29.87, 43
32.00, 27
34.23, 84

Cell lengths 6.917, 6.917, 7.828 Å; angles 94.20, 94.20, 107.92 degrees
Element x y z (fractional)
1 Rb 0.194 0.806 0.000
2 Rb 0.221 0.779 0.500
3 Rb 0.323 0.323 0.847
4 Rb 0.677 0.677 0.153
5 Rb 0.779 0.221 0.500
6 Rb 0.806 0.194 0.000
7 Sb 0.262 0.262 0.328
8 Sb 0.738 0.738 0.672
9 O 0.022 0.022 0.255
10 O 0.202 0.475 0.199
11 O 0.475 0.202 0.199
12 O 0.525 0.798 0.801
13 O 0.798 0.525 0.801
14 O 0.978 0.978 0.745

(4)
Diffraction record for ZnC2N8O4. The XRD peak list is calculated, not measured: it uses DFT lattice parameters and positions (PBE) and copper Kα.

Largest 6 diffraction maxima, by angle, 2θ from 10° to 90°:
2θ/deg, I (rel.)
13.57, 70
18.65, 36
20.44, 55
21.93, 41
29.88, 100
38.44, 43

Cell lengths 10.090, 8.957, 11.655 Å; angles 90.00, 125.25, 90.00 degrees
Element x y z (fractional)
1 Zn 0.000 0.000 0.000
2 Zn 0.000 0.500 0.500
3 C 0.215 0.116 0.689
4 C 0.215 0.384 0.189
5 C 0.785 0.616 0.811
6 C 0.785 0.884 0.311
7 N 0.195 0.693 0.782
8 N 0.195 0.807 0.282
9 N 0.291 0.635 0.880
10 N 0.291 0.865 0.380
11 N 0.306 0.057 0.008
12 N 0.306 0.443 0.508
13 N 0.360 0.170 0.051
14 N 0.360 0.330 0.551
15 N 0.640 0.670 0.449
16 N 0.640 0.830 0.949
17 N 0.694 0.557 0.492
18 N 0.694 0.943 0.992
19 N 0.709 0.135 0.620
20 N 0.709 0.365 0.120
21 N 0.805 0.193 0.718
22 N 0.805 0.307 0.218
23 O 0.127 0.206 0.682
24 O 0.127 0.294 0.182
25 O 0.304 0.024 0.696
26 O 0.304 0.476 0.196
27 O 0.696 0.524 0.804
28 O 0.696 0.976 0.304
29 O 0.873 0.706 0.818
30 O 0.873 0.794 0.318